This entry pairs a crystal structure of KPrYNbO6 with its simulated powder diffractogram. Radiation: CuKα. Structure: a crystal structure in Alexandria, relaxed with PBE.
Peak positions follow from Bragg's law for the DFT cell and can differ from measured ones.

Main lines, in order of rising 2θ (2θ = 15–90°):
2θ/deg  I_rel
18.27  20
30.05  100
35.40  12
43.02  35
53.37  39
62.47  21
70.87  17
86.63  20

Structure:
Unit cell a=5.947 b=5.947 c=5.947 alpha=60.00 beta=60.00 gamma=60.00
Element x y z (fractional)
K (0.000, 0.000, 0.000)
Pr (0.500, 0.500, 0.500)
Y (0.750, 0.750, 0.750)
Nb (0.250, 0.250, 0.250)
O (0.012, 0.012, 0.488)
O (0.012, 0.488, 0.012)
O (0.012, 0.488, 0.488)
O (0.488, 0.012, 0.012)
O (0.488, 0.012, 0.488)
O (0.488, 0.488, 0.012)